Record 1
Theoretical powder XRD pattern of PmThNi2Ge2 for Cu Kα (λ = 1.5418 Å), from a crystal structure in Alexandria, relaxed with PBE.
No peak broadening, texture or thermal motion is included.

Main lines, in order of rising 2θ (10° ≤ 2θ ≤ 80°):
(hkl)  2θ (°)  intensity
1 0 0  24.7  21
0 1 2  33.4  100
1 1 0  43.4  39
0 0 4  45.1  12
1 0 4  52.1  6
2 0 2  55.8  23
1 1 4  64.4  24
1 2 2  73.3  20
0 1 6  75.7  9
3 0 0  79.7  6

```
data_PmThNi2Ge2
_cell_length_a 4.1684
_cell_length_b 4.1684
_cell_length_c 8.0387
_cell_angle_alpha 90.00
_cell_angle_beta 90.00
_cell_angle_gamma 120.00
_space_group_name_H-M_alt 'P -3 m 1'
_space_group_IT_number 164
_space_group_name_Hall '-P 3 2"'
loop_
_atom_site_label
_atom_site_type_symbol
_atom_site_fract_x
_atom_site_fract_y
_atom_site_fract_z
Pm1 Pm 0.0000 0.0000 0.0000
Th1 Th 0.0000 0.0000 0.5000
Ni1 Ni 0.3333 0.6667 0.7439
Ge1 Ge 0.3333 0.6667 0.2477
```

---

Record 2
Theoretical powder XRD pattern of Pr4NiGe3 for Cu Kα (λ = 1.5418 Å), from a crystal structure in Alexandria, relaxed with PBE.
No peak broadening, texture or thermal motion is included.

Main lines, in order of rising 2θ (10° ≤ 2θ ≤ 80°):
(hkl)  2θ (°)  intensity
1 0 2  26.7  24
1 1 1  30.7  100
0 1 3  31.7  44
0 0 4  32.2  25
1 1 3  38.5  55
1 0 4  38.9  18
0 2 0  41.3  26
2 0 0  43.3  22
2 1 3  54.7  18
2 2 0  61.4  16

```
data_Pr4NiGe3
_cell_length_a 4.1753
_cell_length_b 4.3756
_cell_length_c 11.1094
_cell_angle_alpha 90.00
_cell_angle_beta 90.00
_cell_angle_gamma 90.00
_space_group_name_H-M_alt 'P m m 2'
_space_group_IT_number 25
loop_
_space_group_symop_operation_xyz
'x,y,z'
'-x,-y,z'
'-x,y,z'
'x,-y,z'
loop_
_atom_site_label
_atom_site_type_symbol
_atom_site_fract_x
_atom_site_fract_y
_atom_site_fract_z
Pr1 Pr 0.0000 0.0000 0.0000
Pr2 Pr 0.0000 0.5000 0.4865
Pr3 Pr 0.5000 0.0000 0.7121
Pr4 Pr 0.5000 0.5000 0.2187
Ni1 Ni 0.0000 0.0000 0.2924
Ge1 Ge 0.0000 0.5000 0.7736
Ge2 Ge 0.5000 0.0000 0.4213
Ge3 Ge 0.5000 0.5000 0.9332
```